[1]
K2BaIn: computed X-ray diffraction stick pattern (λ = 1.5418 Å (Cu Kα)), based on the PBE geometry in Alexandria.

Crystal structure
abc: 7.567 7.567 7.567
angles: 137.85 137.85 61.14
Fractional positions:
1 K 0.250 0.750 0.500
2 K 0.750 0.250 0.500
3 Ba 0.000 0.000 0.000
4 In 0.500 0.500 0.000

Largest 10 diffraction maxima, low angle first, 15 to 90 degrees two-theta:
23.11 deg, 3.848 Å, rel. 18; 26.91 deg, 3.314 Å, rel. 100; 27.38 deg, 3.258 Å, rel. 24; 32.91 deg, 2.721 Å, rel. 29; 35.76 deg, 2.511 Å, rel. 12; 43.32 deg, 2.089 Å, rel. 26; 48.10 deg, 1.891 Å, rel. 19; 55.20 deg, 1.664 Å, rel. 25; 55.46 deg, 1.657 Å, rel. 12; 69.71 deg, 1.349 Å, rel. 12

---

[2]
Sr6PuO8: computed X-ray diffraction stick pattern (λ = 1.5418 Å (Cu Kα)), based on the PBE geometry in Alexandria.

Crystal structure
abc: 7.304 7.304 7.304
angles: 60.00 60.00 60.00
Fractional positions:
1 Sr 0.000 0.000 0.500
2 Sr 0.000 0.500 0.000
3 Sr 0.000 0.500 0.500
4 Sr 0.500 0.000 0.000
5 Sr 0.500 0.000 0.500
6 Sr 0.500 0.500 0.000
7 Pu 0.000 0.000 0.000
8 O 0.218 0.218 0.782
9 O 0.218 0.782 0.218
10 O 0.218 0.782 0.782
11 O 0.250 0.250 0.250
12 O 0.750 0.750 0.750
13 O 0.782 0.218 0.218
14 O 0.782 0.218 0.782
15 O 0.782 0.782 0.218

Largest 10 diffraction maxima, low angle first, 15 to 90 degrees two-theta:
28.66 deg, 3.114 Å, rel. 43; 29.97 deg, 2.982 Å, rel. 100; 34.74 deg, 2.582 Å, rel. 100; 45.64 deg, 1.988 Å, rel. 20; 49.95 deg, 1.826 Å, rel. 67; 52.40 deg, 1.746 Å, rel. 20; 59.35 deg, 1.557 Å, rel. 50; 62.27 deg, 1.491 Å, rel. 22; 81.18 deg, 1.185 Å, rel. 22; 83.75 deg, 1.155 Å, rel. 28

---

[3]
HfPdRhPb: computed X-ray diffraction stick pattern (λ = 1.5418 Å (Cu Kα)), based on the PBE geometry in Alexandria.

Crystal structure
abc: 4.696 4.696 4.696
angles: 60.00 60.00 60.00
Fractional positions:
1 Hf 0.000 0.000 0.000
2 Pd 0.250 0.250 0.250
3 Rh 0.750 0.750 0.750
4 Pb 0.500 0.500 0.500

Largest 9 diffraction maxima, low angle first, 15 to 90 degrees two-theta:
23.20 deg, 3.835 Å, rel. 1; 26.85 deg, 3.321 Å, rel. 10; 38.33 deg, 2.348 Å, rel. 100; 47.42 deg, 1.917 Å, rel. 3; 55.33 deg, 1.660 Å, rel. 17; 62.54 deg, 1.485 Å, rel. 4; 69.31 deg, 1.356 Å, rel. 35; 82.08 deg, 1.174 Å, rel. 11; 88.28 deg, 1.107 Å, rel. 2

---

[4]
MgSc3Co: computed X-ray diffraction stick pattern (λ = 1.5418 Å (Cu Kα)), based on the PBE geometry in Alexandria.

Crystal structure
abc: 8.032 3.448 8.711
angles: 90.00 116.66 90.00
Fractional positions:
1 Mg 0.191 0.250 0.115
2 Mg 0.809 0.750 0.885
3 Sc 0.129 0.750 0.785
4 Sc 0.279 0.750 0.464
5 Sc 0.467 0.250 0.823
6 Sc 0.533 0.750 0.177
7 Sc 0.721 0.250 0.536
8 Sc 0.871 0.250 0.215
9 Co 0.112 0.250 0.565
10 Co 0.888 0.750 0.435

Largest 10 diffraction maxima, low angle first, 15 to 90 degrees two-theta:
33.04 deg, 2.711 Å, rel. 28; 33.21 deg, 2.698 Å, rel. 23; 33.90 deg, 2.644 Å, rel. 31; 34.57 deg, 2.595 Å, rel. 38; 34.76 deg, 2.581 Å, rel. 21; 36.33 deg, 2.473 Å, rel. 100; 40.51 deg, 2.227 Å, rel. 26; 41.41 deg, 2.180 Å, rel. 34; 44.96 deg, 2.016 Å, rel. 21; 53.12 deg, 1.724 Å, rel. 26

---

[5]
Cs2MgGeTe4: computed X-ray diffraction stick pattern (λ = 1.5418 Å (Cu Kα)), based on the PBE geometry in Alexandria.

Crystal structure
abc: 15.918 14.331 8.432
angles: 84.52 63.66 31.82
Fractional positions:
1 Cs 0.058 0.058 0.692
2 Cs 0.308 0.308 0.942
3 Cs 0.692 0.692 0.058
4 Cs 0.942 0.942 0.308
5 Mg 0.125 0.125 0.125
6 Mg 0.875 0.875 0.875
7 Ge 0.375 0.375 0.375
8 Ge 0.625 0.625 0.625
9 Te 0.004 0.353 0.442
10 Te 0.299 0.558 0.647
11 Te 0.353 0.004 0.701
12 Te 0.442 0.701 0.004
13 Te 0.558 0.299 0.996
14 Te 0.647 0.996 0.299
15 Te 0.701 0.442 0.353
16 Te 0.996 0.647 0.558

Largest 10 diffraction maxima, low angle first, 15 to 90 degrees two-theta:
22.35 deg, 3.977 Å, rel. 15; 23.72 deg, 3.752 Å, rel. 100; 25.59 deg, 3.481 Å, rel. 31; 27.00 deg, 3.302 Å, rel. 93; 31.33 deg, 2.856 Å, rel. 21; 32.67 deg, 2.741 Å, rel. 25; 41.95 deg, 2.154 Å, rel. 31; 44.16 deg, 2.051 Å, rel. 24; 44.80 deg, 2.023 Å, rel. 18; 47.91 deg, 1.899 Å, rel. 15